1.
# SmScGe2Os
Simulated X-ray diffraction stick pattern, Cu Kα. Input: a GGA-PBE-relaxed structure.

Top 8 peaks for 10° ≤ 2θ ≤ 90°, by angle:
Position (°2θ), Rel. int., h k l
23.04, 33, 1 0 1
31.74, 49, 1 0 3
34.61, 100, 1 1 2
44.28, 41, 2 0 0
44.70, 31, 1 0 5
55.50, 21, 2 1 3
64.74, 21, 2 1 5
75.23, 21, 3 1 2

Structural model:
```
data_SmScGe2Os
_chemical_formula_sum 'Sm2 Sc2 Ge4 Os2'
_symmetry_space_group_name_H-M 'I -4 m 2'
_symmetry_Int_Tables_number 119
_symmetry_space_group_name_Hall 'I -4 -2'
_cell_length_a 4.091
_cell_length_b 4.091
_cell_length_c 11.669
_cell_angle_alpha 90.00
_cell_angle_beta 90.00
_cell_angle_gamma 90.00
loop_
_atom_site_label
_atom_site_type_symbol
_atom_site_fract_x
_atom_site_fract_y
_atom_site_fract_z
Sm1 Sm 0.000 0.000 0.000
Sc1 Sc 0.000 0.500 0.750
Ge1 Ge 0.000 0.000 0.392
Os1 Os 0.000 0.500 0.250
```

***

2.
# SmAlPt2
Simulated X-ray diffraction stick pattern, Cu Kα. Input: a GGA-PBE-relaxed structure.

Top 8 peaks for 10° ≤ 2θ ≤ 90°, by angle:
Position (°2θ), Rel. int., h k l
28.95, 26, 1 0 3
32.92, 29, 2 1 0
34.08, 51, 2 1 1
35.78, 100, 1 1 3
41.85, 35, 0 2 0
44.99, 21, 3 1 1
52.91, 24, 3 0 4
69.67, 23, 3 2 4

Structural model:
```
data_SmAlPt2
_chemical_formula_sum 'Sm4 Al4 Pt8'
_symmetry_space_group_name_H-M 'P n m a'
_symmetry_Int_Tables_number 62
_cell_length_a 7.008
_cell_length_b 4.317
_cell_length_c 10.304
_cell_angle_alpha 90.00
_cell_angle_beta 90.00
_cell_angle_gamma 90.00
loop_
_symmetry_equiv_pos_as_xyz
'x,y,z'
'-x,-y,-z'
'-x+1/2,-y,z+1/2'
'x+1/2,y,-z+1/2'
'x+1/2,-y+1/2,-z+1/2'
'-x+1/2,y+1/2,z+1/2'
'-x,y+1/2,-z'
'x,-y+1/2,z'
loop_
_atom_site_label
_atom_site_type_symbol
_atom_site_fract_x
_atom_site_fract_y
_atom_site_fract_z
Sm1 Sm 0.206 0.250 0.164
Al1 Al 0.053 0.750 0.395
Pt1 Pt 0.084 0.250 0.832
Pt2 Pt 0.238 0.250 0.459
```